This entry pairs a crystal structure of Ba2CaPbO4 with its simulated X-ray powder pattern. Radiation: Cu Kα X-rays. Structure: DFT lattice parameters and positions (GGA-PBE).
No peak broadening, texture or thermal motion is included.

Principal peaks in the range 5° ≤ 2θ ≤ 70°, in order of falling intensity:
Position (°2θ)	Rel. int.	(hkl)
33.50	100.0	2 2 0
28.86	86.5	0 2 2
29.01	85.0	2 0 2
48.18	69.2	2 2 4
57.25	54.0	0 2 6
33.61	49.4	0 0 4
56.98	27.5	2 4 2
14.35	25.4	0 1 1
16.62	20.0	0 0 2
59.79	17.7	0 4 4
47.90	17.5	0 4 0
60.12	17.5	4 0 4

Structure:
```
data_Ba2CaPbO4
_chemical_formula_sum 'Ba8 Ca4 Pb4 O16'
_symmetry_space_group_name_H-M 'I m m a'
_symmetry_Int_Tables_number 74
_symmetry_space_group_name_Hall '-I 2b 2'
_cell_length_a 7.538
_cell_length_b 7.596
_cell_length_c 10.667
_cell_angle_alpha 90.00
_cell_angle_beta 90.00
_cell_angle_gamma 90.00
loop_
_atom_site_label
_atom_site_type_symbol
_atom_site_fract_x
_atom_site_fract_y
_atom_site_fract_z
Ba1 Ba 0.000 0.000 0.000
Ba2 Ba 0.250 0.250 0.250
Ca1 Ca 0.250 0.250 0.750
Pb1 Pb 0.000 0.000 0.500
O1 O 0.000 0.019 0.748
O2 O 0.248 0.250 0.512
```